# 1
Structure and computed powder diffraction line list of YMgZn2Ag5 (a cell relaxed with PBE; Cu Kα, 1.54184 Å).

Crystal structure
a b c (Å): 4.825 4.825 7.785
angles (deg): 90.00 90.00 90.00
Space group P4/mmm (No. 123)
Inequivalent atoms, fractional coordinates:
Y  0.000  0.000  0.000 x1
Mg  0.000  0.000  0.500 x1
Zn  0.500  0.500  0.347 x2
Ag  0.000  0.500  0.241 x4
Ag  0.500  0.500  0.000 x1

Principal peaks in the range 15° ≤ 2θ ≤ 90°, sorted by position:
hkl, 2theta, I_rel
1 0 0, 18.4, 119
0 0 2, 22.8, 135
1 1 2, 35.0, 1000
2 0 0, 37.3, 718
1 1 3, 43.8, 201
2 0 2, 44.2, 92
2 2 0, 53.7, 238
2 0 4, 61.2, 145
3 1 2, 65.7, 293
1 1 6, 78.9, 132

***

# 2
Structure and computed powder diffraction line list of Mg2Zn2Ag5 (a cell relaxed with PBE; Cu Kα, 1.54184 Å).

Crystal structure
a b c (Å): 8.665 4.643 7.853
angles (deg): 90.00 90.00 90.00
Space group Amm2 (No. 38)
Inequivalent atoms, fractional coordinates:
Mg  0.000  0.000  0.000 x2
Mg  0.500  0.000  0.329 x2
Zn  0.183  0.000  0.669 x4
Ag  0.165  0.000  0.333 x4
Ag  0.330  0.000  0.999 x4
Ag  0.500  0.000  0.665 x2

Principal peaks in the range 15° ≤ 2θ ≤ 90°, sorted by position:
hkl, 2theta, I_rel
1 1 1, 24.5, 309
1 0 2, 24.9, 155
3 1 1, 38.5, 942
0 2 0, 38.7, 995
0 1 3, 39.5, 1000
3 2 2, 56.0, 303
3 3 1, 70.0, 148
0 3 3, 70.7, 165
3 1 5, 71.3, 143
6 1 3, 78.4, 229

***

# 3
Structure and computed powder diffraction line list of MgZn5Ag6 (a cell relaxed with PBE; Cu Kα, 1.54184 Å).

Crystal structure
a b c (Å): 4.442 13.466 6.614
angles (deg): 90.00 90.70 90.00
Space group C2/m (No. 12)
Inequivalent atoms, fractional coordinates:
Mg  0.000  0.000  0.000 x2
Zn  0.000  0.000  0.500 x2
Zn  0.000  0.336  0.000 x4
Zn  0.000  0.336  0.500 x4
Ag  0.000  0.170  0.253 x8
Ag  0.001  0.500  0.258 x4

Principal peaks in the range 15° ≤ 2θ ≤ 90°, sorted by position:
hkl, 2theta, I_rel
1 3 0, 28.3, 187
1 3 -2, 39.3, 1000
1 3 2, 39.6, 974
0 6 0, 40.2, 466
2 0 0, 40.6, 456
0 0 4, 55.6, 172
2 6 0, 58.5, 292
0 6 4, 70.8, 159
1 9 -2, 72.4, 147
3 3 -2, 72.8, 149

***

# 4
Structure and computed powder diffraction line list of Mg3Zn5Ag2 (a cell relaxed with PBE; Cu Kα, 1.54184 Å).

Crystal structure
a b c (Å): 6.866 7.511 8.095
angles (deg): 117.48 106.48 93.83
Space group P-1 (No. 2)
Inequivalent atoms, fractional coordinates:
Mg  0.180  0.466  0.277 x2
Mg  0.231  0.990  0.550 x2
Mg  0.298  0.778  0.115 x2
Zn  0.029  0.045  0.187 x2
Zn  0.097  0.346  0.541 x2
Zn  0.264  0.739  0.724 x2
Zn  0.354  0.119  0.033 x2
Zn  0.462  0.490  0.825 x2
Ag  0.113  0.335  0.873 x2
Ag  0.440  0.229  0.437 x2

Principal peaks in the range 15° ≤ 2θ ≤ 90°, sorted by position:
hkl, 2theta, I_rel
-1 1 1, 22.8, 341
0 2 -1, 23.8, 563
1 -3 1, 37.6, 576
2 2 -1, 38.2, 461
2 0 -3, 40.1, 614
1 -3 0, 40.9, 500
3 -1 0, 41.4, 1000
1 3 -3, 41.9, 308
1 -1 3, 42.1, 390
1 1 2, 43.1, 772

***

# 5
Structure and computed powder diffraction line list of Mg2Zn3Ag8 (a cell relaxed with PBE; Cu Kα, 1.54184 Å).

Crystal structure
a b c (Å): 8.737 16.046 3.563
angles (deg): 90.00 90.00 90.00
Space group Cmmm (No. 65)
Inequivalent atoms, fractional coordinates:
Mg  0.000  0.241  0.000 x4
Zn  0.000  0.500  0.000 x2
Zn  0.239  0.500  0.500 x4
Ag  0.000  0.095  0.500 x4
Ag  0.000  0.376  0.500 x4
Ag  0.249  0.132  0.000 x8

Principal peaks in the range 15° ≤ 2θ ≤ 90°, sorted by position:
hkl, 2theta, I_rel
0 4 0, 22.2, 309
2 0 1, 32.4, 295
2 4 1, 39.6, 1000
4 0 0, 41.3, 248
0 8 0, 45.2, 120
4 4 0, 47.4, 113
0 0 2, 51.3, 130
4 0 2, 67.9, 106
6 4 1, 74.2, 157
2 4 3, 88.8, 93

***

# 6
Structure and computed powder diffraction line list of Mg2Zn9Ag (a cell relaxed with PBE; Cu Kα, 1.54184 Å).

Crystal structure
a b c (Å): 8.797 8.797 5.108
angles (deg): 90.00 90.00 90.00
Space group P4/mbm (No. 127)
Inequivalent atoms, fractional coordinates:
Mg  0.122  0.378  0.000 x4
Zn  0.000  0.500  0.500 x2
Zn  0.061  0.198  0.500 x8
Zn  0.177  0.677  0.240 x8
Ag  0.000  0.000  0.000 x2

Principal peaks in the range 15° ≤ 2θ ≤ 90°, sorted by position:
hkl, 2theta, I_rel
0 0 1, 17.4, 256
2 1 0, 22.6, 290
2 2 1, 33.7, 296
3 1 1, 36.8, 1000
2 0 2, 40.9, 468
3 2 1, 41.0, 258
2 1 2, 42.2, 629
4 1 0, 42.4, 668
4 2 0, 46.1, 322
6 2 2, 78.3, 216

***

# 7
Structure and computed powder diffraction line list of Mg3Zn2Ag8 (a cell relaxed with PBE; Cu Kα, 1.54184 Å).

Crystal structure
a b c (Å): 5.4987 5.4987 29.3340
angles (deg): 90.00 90.00 120.00
Space group R-3m (No. 166, hexagonal axes)
Inequivalent atoms, fractional coordinates:
Mg  0.0000  0.0000  0.0000 x3
Mg  0.0000  0.0000  0.1853 x6
Zn  0.0000  0.0000  0.3637 x6
Ag  0.0000  0.0000  0.2780 x6
Ag  0.0022  0.5011  0.7700 x18

Principal peaks in the range 15° ≤ 2θ ≤ 90°, sorted by position:
hkl, 2theta, I_rel
0 0 6, 18.1, 632
1 0 7, 28.4, 184
1 1 3, 33.9, 305
2 0 2, 38.3, 1000
0 1 11, 38.7, 514
0 2 4, 39.8, 469
1 1 9, 43.0, 358
2 0 8, 45.4, 183
1 2 11, 62.2, 235
2 2 0, 68.2, 263

***

# 8
Structure and computed powder diffraction line list of Mg5Zn12Ag2 (a cell relaxed with PBE; Cu Kα, 1.54184 Å).

Crystal structure
a b c (Å): 14.716 6.920 6.531
angles (deg): 90.00 93.98 90.00
Space group C2/m (No. 12)
Inequivalent atoms, fractional coordinates:
Mg  0.000  0.000  0.000 x2
Mg  0.192  0.500  0.532 x4
Mg  0.246  0.000  0.935 x4
Zn  0.054  0.500  0.173 x4
Zn  0.111  0.302  0.852 x8
Zn  0.121  0.000  0.599 x4
Zn  0.146  0.186  0.247 x8
Ag  0.000  0.286  0.500 x4

Principal peaks in the range 15° ≤ 2θ ≤ 90°, sorted by position:
hkl, 2theta, I_rel
3 1 0, 22.2, 254
4 0 -2, 35.6, 274
5 1 1, 36.8, 454
4 2 -1, 37.7, 1000
2 2 2, 40.6, 721
1 3 -1, 41.9, 373
5 1 -2, 42.1, 263
2 0 -3, 42.6, 399
3 3 -1, 45.2, 387
4 2 2, 46.6, 307